Simulated powder diffraction line list of Cs4Ag3Cl12 for Cu Ka, from a DFT-relaxed cell (GGA-PBE, Alexandria).
Neutral-atom scattering factors, no anomalous dispersion.

Structure:
```
19
Lattice="-5.969 5.969 5.969 5.969 -5.969 5.969 5.969 5.969 -5.969" Properties=species:S:1:pos:R:3 pbc="T T T"
Cs 2.985 2.985 -2.985
Cs 2.985 -2.985 2.985
Cs -2.985 2.985 2.985
Cs 2.985 2.985 2.985
Ag 5.969 0.000 0.000
Ag 0.000 5.969 0.000
Ag 0.000 0.000 5.969
Cl 4.287 0.000 1.676
Cl 7.651 0.000 1.676
Cl 5.969 4.293 -1.682
Cl 1.676 4.287 0.000
Cl 4.293 -1.682 5.969
Cl 0.000 1.676 4.287
Cl 5.969 4.293 1.682
Cl 1.676 7.651 0.000
Cl 4.293 1.682 5.969
Cl 0.000 1.676 7.651
Cl -1.682 5.969 4.293
Cl 1.682 5.969 4.293
```

Main lines, sorted by position (10° ≤ 2θ ≤ 90°):
| two_theta | I/Imax |
| --- | --- |
| 10.48 | 23 |
| 21.05 | 100 |
| 29.94 | 17 |
| 36.89 | 61 |
| 48.21 | 26 |
| 57.80 | 24 |

=====

Simulated powder diffraction line list of Cs3Ag4Cl9 for Cu Ka, from a DFT-relaxed cell (GGA-PBE, Alexandria).
Neutral-atom scattering factors, no anomalous dispersion.

Structure:
```
16
Lattice="3.663 2.115 9.937 -3.663 2.115 9.937 0.000 -4.230 9.937" Properties=species:S:1:pos:R:3 pbc="T T T"
Cs 0.000 0.000 0.000
Cs 0.000 0.000 12.704
Cs 0.000 0.000 17.107
Ag 0.000 0.000 4.865
Ag 0.000 0.000 8.374
Ag 0.000 0.000 21.437
Ag 0.000 0.000 24.946
Cl -1.832 -1.057 9.937
Cl 0.000 -2.092 6.728
Cl -1.812 1.046 6.728
Cl -1.812 -1.046 23.083
Cl -1.832 1.057 19.874
Cl 0.000 2.115 9.937
Cl 1.812 1.046 6.728
Cl 1.812 -1.046 23.083
Cl 0.000 2.092 23.083
```

Main lines, sorted by position (10° ≤ 2θ ≤ 90°):
| two_theta | I/Imax |
| --- | --- |
| 24.30 | 100 |
| 25.18 | 72 |
| 35.28 | 77 |
| 42.75 | 22 |
| 43.30 | 34 |
| 49.78 | 34 |

=====

Simulated powder diffraction line list of CsAg3Cl8 for Cu Ka, from a DFT-relaxed cell (GGA-PBE, Alexandria).
Neutral-atom scattering factors, no anomalous dispersion.

Structure:
```
12
Lattice="6.873 0.000 0.000 -3.436 5.952 0.000 0.000 0.000 9.301" Properties=species:S:1:pos:R:3 pbc="T T T"
Cs 0.000 0.000 0.000
Ag 0.000 0.000 4.650
Ag 0.000 3.968 6.682
Ag 3.436 1.984 2.619
Cl -2.402 4.250 6.133
Cl 0.957 1.746 6.133
Cl 1.991 0.045 3.167
Cl 0.000 3.968 9.090
Cl 3.436 1.984 0.211
Cl 1.445 5.907 6.133
Cl 2.480 4.206 3.167
Cl 5.839 1.702 3.167
```

Main lines, sorted by position (10° ≤ 2θ ≤ 90°):
| two_theta | I/Imax |
| --- | --- |
| 17.69 | 100 |
| 24.29 | 100 |
| 25.93 | 91 |
| 44.75 | 49 |
| 45.73 | 47 |
| 47.20 | 50 |

=====

Simulated powder diffraction line list of CsDyAgCl6 for Cu Ka, from a DFT-relaxed cell (GGA-PBE, Alexandria).
Neutral-atom scattering factors, no anomalous dispersion.

Structure:
```
9
Lattice="6.821 0.000 0.000 -2.966 6.151 0.000 -0.288 -0.439 7.770" Properties=species:S:1:pos:R:3 pbc="T T T"
Cs 0.000 0.000 0.000
Dy 0.214 3.846 3.888
Ag 3.580 1.729 3.885
Cl -1.102 1.884 5.198
Cl -1.627 3.686 2.103
Cl -0.435 5.568 5.681
Cl 1.631 2.085 2.368
Cl 2.415 3.328 5.405
Cl 1.402 5.885 2.573
```

Main lines, sorted by position (10° ≤ 2θ ≤ 90°):
| two_theta | I/Imax |
| --- | --- |
| 11.39 | 85 |
| 17.90 | 100 |
| 18.93 | 86 |
| 19.14 | 95 |
| 32.65 | 48 |
| 35.63 | 78 |

=====

Simulated powder diffraction line list of CsDyAgCl5 for Cu Ka, from a DFT-relaxed cell (GGA-PBE, Alexandria).
Neutral-atom scattering factors, no anomalous dispersion.

Structure:
```
16
Lattice="4.522 -6.352 0.000 4.522 6.352 0.000 -3.594 0.000 9.577" Properties=species:S:1:pos:R:3 pbc="T T T"
Cs 1.827 4.311 7.183
Cs 3.624 -4.311 2.394
Dy 4.522 0.000 0.000
Dy 2.725 0.000 4.789
Ag 3.624 3.981 2.394
Ag 1.827 -3.981 7.183
Cl -1.519 0.766 8.922
Cl 2.195 2.458 3.964
Cl 0.278 -0.766 4.133
Cl 5.052 2.458 0.824
Cl 1.827 0.769 7.183
Cl 3.624 -0.769 2.394
Cl 0.399 -2.458 8.753
Cl 5.173 0.766 5.444
Cl 3.256 -2.458 5.613
Cl 6.970 -0.766 0.656
```

Main lines, sorted by position (10° ≤ 2θ ≤ 90°):
| two_theta | I/Imax |
| --- | --- |
| 19.12 | 100 |
| 20.98 | 75 |
| 23.26 | 54 |
| 23.49 | 82 |
| 38.32 | 37 |
| 48.04 | 34 |

=====

Simulated powder diffraction line list of CsAg2ClF2 for Cu Ka, from a DFT-relaxed cell (GGA-PBE, Alexandria).
Neutral-atom scattering factors, no anomalous dispersion.

Structure:
```
12
Lattice="6.113 0.000 0.000 0.000 5.842 0.000 -2.907 0.000 8.947" Properties=species:S:1:pos:R:3 pbc="T T T"
Cs 0.347 1.461 3.541
Cs 2.858 4.382 5.407
Ag -0.012 0.010 7.510
Ag -0.012 2.911 7.510
Ag 3.217 2.932 1.438
Ag 3.217 5.832 1.438
Cl -1.610 1.461 8.883
Cl 4.815 4.382 0.065
F -0.265 4.382 5.738
F 1.842 4.382 2.735
F 1.363 1.461 6.212
F 3.470 1.461 3.209
```

Main lines, sorted by position (10° ≤ 2θ ≤ 90°):
| two_theta | I/Imax |
| --- | --- |
| 15.24 | 100 |
| 21.56 | 50 |
| 28.69 | 72 |
| 29.18 | 90 |
| 34.41 | 89 |
| 43.36 | 49 |

=====

Simulated powder diffraction line list of Cs2AgCl2F4 for Cu Ka, from a DFT-relaxed cell (GGA-PBE, Alexandria).
Neutral-atom scattering factors, no anomalous dispersion.

Structure:
```
9
Lattice="-3.658 3.658 3.945 3.658 -3.658 3.945 3.658 3.658 -3.945" Properties=species:S:1:pos:R:3 pbc="T T T"
Cs 3.658 0.000 1.973
Cs 0.000 3.658 1.973
Ag 0.000 0.000 0.000
Cl 0.000 0.000 2.921
Cl 0.000 0.000 4.969
F 1.481 1.481 0.000
F 2.177 -2.177 3.945
F -2.177 2.177 3.945
F 2.177 2.177 3.945
```

Main lines, sorted by position (10° ≤ 2θ ≤ 90°):
| two_theta | I/Imax |
| --- | --- |
| 16.52 | 19 |
| 24.33 | 76 |
| 28.45 | 100 |
| 33.41 | 22 |
| 34.68 | 52 |
| 45.45 | 47 |

=====

Simulated powder diffraction line list of CsAg2Cl2F for Cu Ka, from a DFT-relaxed cell (GGA-PBE, Alexandria).
Neutral-atom scattering factors, no anomalous dispersion.

Structure:
```
12
Lattice="7.017 0.000 0.000 0.000 6.143 0.000 -0.604 0.000 7.840" Properties=species:S:1:pos:R:3 pbc="T T T"
Cs 1.475 1.536 0.986
Cs 4.938 4.608 6.854
Ag 1.485 3.173 4.742
Ag 1.485 6.042 4.742
Ag 4.928 0.102 3.098
Ag 4.928 2.970 3.098
Cl 0.083 4.608 2.715
Cl 1.456 4.608 6.918
Cl 4.957 1.536 0.922
Cl 6.330 1.536 5.125
F 2.703 1.536 3.602
F 3.710 4.608 4.238
```

Main lines, sorted by position (10° ≤ 2θ ≤ 90°):
| two_theta | I/Imax |
| --- | --- |
| 11.29 | 45 |
| 25.17 | 48 |
| 25.46 | 77 |
| 26.93 | 100 |
| 31.27 | 52 |
| 41.34 | 44 |

=====

Simulated powder diffraction line list of CsGaAgCl6 for Cu Ka, from a DFT-relaxed cell (GGA-PBE, Alexandria).
Neutral-atom scattering factors, no anomalous dispersion.

Structure:
```
9
Lattice="6.534 0.000 0.000 -2.779 5.917 0.000 -0.280 -0.434 7.672" Properties=species:S:1:pos:R:3 pbc="T T T"
Cs 0.000 0.000 0.000
Ga 3.186 1.815 3.833
Ag -0.019 3.850 3.839
Cl 2.016 0.008 5.058
Cl 1.232 2.241 2.392
Cl 1.973 3.409 5.278
Cl 3.882 0.270 2.287
Cl 4.882 1.845 5.379
Cl 4.328 3.645 2.610
```

Main lines, sorted by position (10° ≤ 2θ ≤ 90°):
| two_theta | I/Imax |
| --- | --- |
| 11.53 | 64 |
| 18.43 | 100 |
| 19.48 | 91 |
| 19.82 | 98 |
| 33.50 | 49 |
| 36.77 | 85 |

=====

Simulated powder diffraction line list of Cs2Ag2GeCl6 for Cu Ka, from a DFT-relaxed cell (GGA-PBE, Alexandria).
Neutral-atom scattering factors, no anomalous dispersion.

Structure:
```
11
Lattice="6.818 -3.886 0.000 6.818 3.886 0.000 -3.851 0.000 6.773" Properties=species:S:1:pos:R:3 pbc="T T T"
Cs 2.375 0.000 1.337
Cs 7.410 0.000 5.436
Ag 2.891 0.000 5.292
Ag 6.894 0.000 1.481
Ge -1.925 0.000 3.387
Cl 5.450 2.055 1.497
Cl 0.552 0.000 4.415
Cl 4.335 2.055 5.276
Cl 5.450 -2.055 1.497
Cl 9.232 0.000 2.358
Cl 4.335 -2.055 5.276
```

Main lines, sorted by position (10° ≤ 2θ ≤ 90°):
| two_theta | I/Imax |
| --- | --- |
| 22.75 | 100 |
| 22.88 | 52 |
| 26.17 | 51 |
| 26.32 | 36 |
| 32.61 | 30 |
| 46.48 | 33 |

=====

Simulated powder diffraction line list of Cs3AgHg2Cl8 for Cu Ka, from a DFT-relaxed cell (GGA-PBE, Alexandria).
Neutral-atom scattering factors, no anomalous dispersion.

Structure:
```
14
Lattice="7.595 0.000 0.000 -3.797 6.577 0.000 0.000 0.000 9.941" Properties=species:S:1:pos:R:3 pbc="T T T"
Cs 0.000 0.000 0.000
Cs 0.000 4.385 6.132
Cs 3.797 2.192 3.809
Ag 0.000 0.000 4.970
Hg 0.000 4.385 1.998
Hg 3.797 2.192 7.943
Cl 0.000 2.114 3.228
Cl -1.967 5.520 3.228
Cl 1.831 1.057 6.713
Cl 0.000 4.385 9.503
Cl 3.797 2.192 0.438
Cl 1.967 5.520 3.228
Cl 5.764 1.057 6.713
Cl 3.797 4.463 6.713
```

Main lines, sorted by position (10° ≤ 2θ ≤ 90°):
| two_theta | I/Imax |
| --- | --- |
| 16.16 | 26 |
| 22.42 | 61 |
| 23.43 | 100 |
| 30.20 | 28 |
| 32.65 | 50 |
| 40.58 | 28 |

=====

Simulated powder diffraction line list of CsAgICl2 for Cu Ka, from a DFT-relaxed cell (GGA-PBE, Alexandria).
Neutral-atom scattering factors, no anomalous dispersion.

Structure:
```
5
Lattice="5.367 0.000 0.000 0.000 5.367 0.000 0.000 0.000 5.646" Properties=species:S:1:pos:R:3 pbc="T T T"
Cs 0.000 0.000 0.000
Ag 2.683 2.683 2.823
I 2.683 2.683 0.000
Cl 0.000 2.683 2.823
Cl 2.683 0.000 2.823
```

Main lines, sorted by position (10° ≤ 2θ ≤ 90°):
| two_theta | I/Imax |
| --- | --- |
| 23.44 | 100 |
| 28.34 | 68 |
| 31.70 | 52 |
| 33.39 | 91 |
| 39.80 | 51 |
| 46.71 | 68 |